Entry 1:
The following is a theoretical powder diffractogram of TlSbN2. It was derived from DFT lattice parameters and positions (PBE), using copper Kα.

Atomic structure:
```
data_TlSbN2
_chemical_formula_sum 'Tl2 Sb2 N4'
_cell_length_a 3.3288
_cell_length_b 6.1061
_cell_length_c 13.7589
_cell_angle_alpha 89.84
_cell_angle_beta 83.14
_cell_angle_gamma 88.68
_space_group_name_H-M_alt 'P -1'
_space_group_IT_number 2
loop_
_space_group_symop_operation_xyz
'x,y,z'
'-x,-y,-z'
loop_
_atom_site_label
_atom_site_type_symbol
_atom_site_fract_x
_atom_site_fract_y
_atom_site_fract_z
Tl1 Tl 0.0910 0.2500 0.3155
Sb1 Sb 0.5000 0.0000 0.5000
Sb2 Sb 0.5000 0.5000 0.5000
N1 N 0.2033 0.8412 0.0909
N2 N 0.2059 0.6588 0.0909
```

Peak list (10 most intense, 2θ from 15° to 90°, low angle first)
d (Å)	2θ (°)	I_rel
5.573	15.90	100
4.552	19.50	69
2.842	31.48	57
2.807	31.88	30
2.787	32.12	42
2.758	32.46	29
2.732	32.78	33
2.534	35.42	85
2.268	39.75	31
2.217	40.70	29

Entry 2:
The following is a theoretical powder diffractogram of Er5NiPd4. It was derived from DFT lattice parameters and positions (PBE), using copper Kα.

Atomic structure:
```
data_Er5NiPd4
_chemical_formula_sum 'Er5 Ni1 Pd4'
_cell_length_a 3.4216
_cell_length_b 3.4216
_cell_length_c 17.6052
_cell_angle_alpha 90.00
_cell_angle_beta 90.00
_cell_angle_gamma 90.00
_space_group_name_H-M_alt 'P 4/m m m'
_space_group_IT_number 123
_space_group_name_Hall '-P 4 2'
loop_
_atom_site_label
_atom_site_type_symbol
_atom_site_fract_x
_atom_site_fract_y
_atom_site_fract_z
Er1 Er 0.0000 0.0000 0.0000
Er2 Er 0.0000 0.0000 0.2034
Er3 Er 0.0000 0.0000 0.4069
Ni1 Ni 0.5000 0.5000 0.5000
Pd1 Pd 0.5000 0.5000 0.1017
Pd2 Pd 0.5000 0.5000 0.3031
```

Peak list (10 most intense, 2θ from 15° to 90°, low angle first)
d (Å)	2θ (°)	I_rel
3.422	26.04	7
2.454	36.62	100
2.419	37.16	49
1.761	51.94	9
1.711	53.57	17
1.424	65.58	17
1.403	66.64	34
1.227	77.85	10
1.210	79.18	5
1.110	87.96	7

Entry 3:
The following is a theoretical powder diffractogram of Pr8ZnSi3I4. It was derived from DFT lattice parameters and positions (PBE), using copper Kα.

Atomic structure:
```
data_Pr8ZnSi3I4
_chemical_formula_sum 'Pr24 Zn3 Si9 I12'
_cell_length_a 8.7275
_cell_length_b 8.7275
_cell_length_c 23.1689
_cell_angle_alpha 90.00
_cell_angle_beta 90.00
_cell_angle_gamma 120.00
_space_group_name_H-M_alt 'R -3 m'
_space_group_IT_number 166
_space_group_name_Hall '-R 3 2"'
loop_
_atom_site_label
_atom_site_type_symbol
_atom_site_fract_x
_atom_site_fract_y
_atom_site_fract_z
Pr1 Pr 0.0000 0.0000 0.2332
Pr2 Pr 0.0045 0.5022 0.7649
Zn1 Zn 0.0000 0.0000 0.5000
Si1 Si 0.0000 0.5000 0.5000
I1 I 0.0000 0.0000 0.0000
I2 I 0.0000 0.5000 0.0000
```

Peak list (10 most intense, 2θ from 15° to 90°, low angle first)
d (Å)	2θ (°)	I_rel
3.730	23.86	11
3.165	28.20	100
2.929	30.52	21
2.299	39.19	30
2.182	41.38	39
1.796	50.83	19
1.664	55.18	15
1.612	57.14	10
1.387	67.54	16
1.281	73.97	14

What is the formula in the third record?
Pr8ZnSi3I4